# K2DyAgCl6
Theoretical powder diffractogram, Cu Kα, 1.54184 Å. Input: the PBE geometry in the Materials Project.

```
K2DyAgCl6
1.0
0.000 5.361 5.361
5.361 0.000 5.361
5.361 5.361 0.000
K Dy Ag Cl
2 1 1 6
direct
0.250 0.250 0.250
0.750 0.750 0.750
0.000 0.000 0.000
0.500 0.500 0.500
0.245 0.245 0.755
0.245 0.755 0.245
0.245 0.755 0.755
0.755 0.245 0.245
0.755 0.245 0.755
0.755 0.755 0.245
```

The 10 most intense peaks (5° ≤ 2θ ≤ 70°), low angle first:
Position (°2θ)	I (rel.)
16.5	100
23.5	99
33.4	82
37.5	51
41.2	45
48.0	55
51.1	26
54.1	20
59.7	18
65.1	23

# K2EuAgCl6
Theoretical powder diffractogram, Cu Kα, 1.54184 Å. Input: the PBE geometry in the Materials Project.

```
K2EuAgCl6
1.0
0.000 5.385 5.385
5.385 0.000 5.385
5.385 5.385 0.000
K Eu Ag Cl
2 1 1 6
direct
0.250 0.250 0.250
0.750 0.750 0.750
0.000 0.000 0.000
0.500 0.500 0.500
0.253 0.253 0.747
0.253 0.747 0.253
0.253 0.747 0.747
0.747 0.253 0.253
0.747 0.253 0.747
0.747 0.747 0.253
```

The 10 most intense peaks (5° ≤ 2θ ≤ 70°), low angle first:
Position (°2θ)	I (rel.)
16.5	100
23.4	100
33.3	86
37.3	52
41.1	46
47.8	57
50.9	26
53.8	20
59.5	19
64.8	23

# K2GaAgCl6
Theoretical powder diffractogram, Cu Kα, 1.54184 Å. Input: the PBE geometry in the Materials Project.

```
K2GaAgCl6
1.0
0.000 5.113 5.113
5.113 0.000 5.113
5.113 5.113 0.000
K Ga Ag Cl
2 1 1 6
direct
0.250 0.250 0.250
0.750 0.750 0.750
0.000 0.000 0.000
0.500 0.500 0.500
0.235 0.235 0.765
0.235 0.765 0.235
0.235 0.765 0.765
0.765 0.235 0.235
0.765 0.235 0.765
0.765 0.765 0.235
```

The 10 most intense peaks (5° ≤ 2θ ≤ 70°), low angle first:
Position (°2θ)	I (rel.)
17.3	83
24.6	87
35.1	100
39.4	38
43.4	36
50.5	63
53.8	18
57.0	18
63.0	20
68.7	19

Copy entry 1 word for word.
# K2DyAgCl6
Theoretical powder diffractogram, Cu Kα, 1.54184 Å. Input: the PBE geometry in the Materials Project.

```
K2DyAgCl6
1.0
0.000 5.361 5.361
5.361 0.000 5.361
5.361 5.361 0.000
K Dy Ag Cl
2 1 1 6
direct
0.250 0.250 0.250
0.750 0.750 0.750
0.000 0.000 0.000
0.500 0.500 0.500
0.245 0.245 0.755
0.245 0.755 0.245
0.245 0.755 0.755
0.755 0.245 0.245
0.755 0.245 0.755
0.755 0.755 0.245
```

The 10 most intense peaks (5° ≤ 2θ ≤ 70°), low angle first:
Position (°2θ)	I (rel.)
16.5	100
23.5	99
33.4	82
37.5	51
41.2	45
48.0	55
51.1	26
54.1	20
59.7	18
65.1	23

Question: Which formula does entry 1 have?
Answer: K2DyAgCl6